Rb2MnSO4F3: calculated XRD peak list (Cu Kα X-rays), based on a cell relaxed with GGA+U.

Cell: 7.482 11.366 8.945 Å, 90.00 93.22 90.00°
Element x y z (fractional)
Rb 0.192 0.191 0.332
Rb 0.192 0.309 0.832
Rb 0.299 0.691 0.828
Rb 0.299 0.809 0.328
Rb 0.701 0.191 0.672
Rb 0.701 0.309 0.172
Rb 0.808 0.691 0.168
Rb 0.808 0.809 0.668
Mn 0.000 0.000 0.000
Mn 0.000 0.500 0.500
Mn 0.500 0.000 0.000
Mn 0.500 0.500 0.500
S 0.253 0.002 0.697
S 0.253 0.498 0.197
S 0.747 0.502 0.803
S 0.747 0.998 0.303
O 0.110 0.057 0.785
O 0.110 0.443 0.285
O 0.181 0.597 0.106
O 0.181 0.903 0.606
O 0.339 0.092 0.608
O 0.339 0.408 0.108
O 0.395 0.554 0.308
O 0.395 0.946 0.808
O 0.605 0.054 0.192
O 0.605 0.446 0.692
O 0.661 0.592 0.892
O 0.661 0.908 0.392
O 0.819 0.097 0.394
O 0.819 0.403 0.894
O 0.890 0.557 0.715
O 0.890 0.943 0.215
F 0.023 0.659 0.454
F 0.023 0.841 0.954
F 0.234 0.001 0.100
F 0.234 0.499 0.600
F 0.479 0.157 0.945
F 0.479 0.343 0.445
F 0.521 0.657 0.555
F 0.521 0.843 0.055
F 0.766 0.501 0.400
F 0.766 0.999 0.900
F 0.977 0.159 0.046
F 0.977 0.341 0.546

The 8 most intense peaks (10 to 80 degrees two-theta), by angle:
2θ/deg	I (rel.)
23.81	30
25.09	27
25.54	35
26.53	36
27.57	76
27.99	52
28.52	100
31.05	35